Calculated powder X-ray diffraction pattern of NpNi2Ge3 for λ = 1.5418 Å (Cu Kα), from a structure optimized by DFT (GGA-PBE).
Intensities are scaled so that the largest is 100.

Atomic structure:
```
NpNi2Ge3
1.0
2.8246 1.6308 7.1816
-2.8246 1.6308 7.1816
0.0000 -3.2616 7.1816
Np Ni Ge
2 4 6
Cartesian
0.0000 0.0000 4.3591
0.0000 0.0000 17.1858
0.0000 0.0000 0.0000
-1.4123 -0.8154 7.1816
-1.4123 0.8154 14.3633
0.0000 1.6308 7.1816
-1.3929 -0.8042 12.5229
0.0000 -1.6084 9.0221
-1.3929 0.8042 9.0221
1.3929 -0.8042 12.5228
0.0000 1.6084 12.5228
1.3929 0.8042 9.0221
```

Largest 10 diffraction maxima, low angle first, 10° ≤ 2θ ≤ 80°:
19.93°, I = 40
27.59°, I = 75
34.11°, I = 52
34.43°, I = 29
37.71°, I = 52
38.14°, I = 37
40.50°, I = 100
42.49°, I = 64
46.03°, I = 33
66.17°, I = 41

***

Calculated powder X-ray diffraction pattern of Er4TlAu for λ = 1.5418 Å (Cu Kα), from a structure optimized by DFT (GGA-PBE).
Intensities are scaled so that the largest is 100.

Atomic structure:
```
Er4TlAu
1.0
7.4304 0.0000 0.0000
0.0000 7.1015 0.0000
-0.1077 0.0000 7.0393
Er Tl Au
8 2 2
Cartesian
1.0745 1.1290 1.1658
1.0206 2.4218 4.6855
2.4175 4.5844 0.9666
2.3637 6.0679 4.4862
4.9590 1.0336 2.5531
4.9052 2.5171 6.0727
6.3021 4.6798 2.3538
6.2482 5.9725 5.8735
3.7152 0.0000 0.0000
3.6614 3.5508 3.5197
-0.0539 0.0000 3.5197
0.0000 3.5508 0.0000
```

Largest 10 diffraction maxima, low angle first, 10° ≤ 2θ ≤ 80°:
21.31°, I = 39
21.53°, I = 32
27.09°, I = 60
28.18°, I = 100
30.62°, I = 35
34.96°, I = 31
35.93°, I = 28
40.84°, I = 41
42.01°, I = 30
42.16°, I = 62

***

Calculated powder X-ray diffraction pattern of PuSe2N2 for λ = 1.5418 Å (Cu Kα), from a structure optimized by DFT (GGA-PBE).
Intensities are scaled so that the largest is 100.

Atomic structure:
```
PuSe2N2
1.0
2.5457 -2.5456 0.0000
2.5457 2.5456 0.0000
-0.5345 0.0000 10.8507
Pu Se N
1 2 2
Cartesian
0.0000 0.0000 0.0000
2.0113 0.0000 9.3039
2.5456 0.0000 1.5468
-0.0730 0.0000 4.9034
4.6300 0.0000 5.9473
```

Largest 10 diffraction maxima, low angle first, 10° ≤ 2θ ≤ 80°:
16.34°, I = 90
29.30°, I = 68
30.28°, I = 80
34.55°, I = 75
35.28°, I = 97
35.83°, I = 100
36.25°, I = 49
40.96°, I = 56
42.42°, I = 51
50.75°, I = 34

***

Calculated powder X-ray diffraction pattern of Cs5Pd3O3 for λ = 1.5418 Å (Cu Kα), from a structure optimized by DFT (GGA-PBE).
Intensities are scaled so that the largest is 100.

Atomic structure:
```
Cs5Pd3O3
1.0
9.6935 0.0000 0.0000
-4.8468 8.3948 0.0000
0.0000 0.0000 4.0389
Cs Pd O
5 3 3
Cartesian
-3.6109 6.2543 0.0000
1.2358 2.1405 0.0000
0.0000 5.5966 0.0000
4.8468 2.7983 0.0000
7.2219 0.0000 0.0000
-1.7461 3.0244 2.0195
3.4923 0.0000 2.0195
3.1006 5.3704 2.0195
-1.7521 3.0347 0.0000
3.5042 0.0000 0.0000
3.0947 5.3601 0.0000
```

Largest 10 diffraction maxima, low angle first, 10° ≤ 2θ ≤ 80°:
28.12°, I = 59
28.77°, I = 100
30.72°, I = 27
31.98°, I = 70
35.99°, I = 35
44.89°, I = 18
52.65°, I = 21
53.81°, I = 19
55.04°, I = 28
56.17°, I = 27

***

Calculated powder X-ray diffraction pattern of Nd4YN4 for λ = 1.5418 Å (Cu Kα), from a structure optimized by DFT (GGA-PBE).
Intensities are scaled so that the largest is 100.

Atomic structure:
```
Nd4YN4
1.0
6.0416 -1.8058 0.0000
6.0416 1.8058 0.0000
-4.5226 0.0000 7.7731
Nd Y N
4 1 4
Cartesian
-0.4552 0.0000 2.9700
2.7118 0.0000 1.4587
4.8487 0.0000 6.3144
8.0157 0.0000 4.8031
6.0416 0.0000 0.0000
-2.9053 0.0000 7.0577
0.5148 0.0000 5.4674
7.0457 0.0000 2.3057
10.4659 0.0000 0.7154
```

Largest 10 diffraction maxima, low angle first, 10° ≤ 2θ ≤ 80°:
29.81°, I = 48
30.13°, I = 50
30.28°, I = 100
34.87°, I = 93
35.03°, I = 46
50.05°, I = 30
50.50°, I = 49
59.51°, I = 19
59.95°, I = 29
62.98°, I = 16

***

Calculated powder X-ray diffraction pattern of TbPm2Sb for λ = 1.5418 Å (Cu Kα), from a structure optimized by DFT (GGA-PBE).
Intensities are scaled so that the largest is 100.

Atomic structure:
```
TbPm2Sb
1.0
2.0450 1.1807 9.6128
-2.0450 1.1807 9.6128
0.0000 -2.3614 9.6128
Tb Pm Sb
1 2 1
Cartesian
0.0000 0.0000 0.0000
0.0000 0.0000 16.3917
0.0000 0.0000 22.0582
0.0000 0.0000 4.7993
```

Largest 10 diffraction maxima, low angle first, 10° ≤ 2θ ≤ 80°:
25.33°, I = 11
25.90°, I = 20
28.07°, I = 23
29.60°, I = 100
33.36°, I = 32
40.33°, I = 21
44.29°, I = 42
54.17°, I = 18
59.34°, I = 17
72.48°, I = 15

***

Calculated powder X-ray diffraction pattern of SiP2 for λ = 1.5418 Å (Cu Kα), from a structure optimized by DFT (GGA-PBE).
Intensities are scaled so that the largest is 100.

Atomic structure:
```
SiP2
1.0
-2.6837 2.6837 3.1532
2.6837 -2.6837 3.1532
2.6837 2.6837 -3.1532
Si P
2 4
Cartesian
0.0000 0.0000 1.5766
0.0000 0.0000 4.7298
3.4568 0.7731 0.0000
0.7731 1.9106 0.0000
1.9106 0.7731 3.1532
-0.7731 1.9106 3.1532
```

Largest 10 diffraction maxima, low angle first, 10° ≤ 2θ ≤ 80°:
28.30°, I = 18
37.07°, I = 80
40.20°, I = 100
44.32°, I = 32
47.94°, I = 7
54.03°, I = 37
58.35°, I = 31
58.55°, I = 14
64.29°, I = 6
77.27°, I = 22

***

Calculated powder X-ray diffraction pattern of Cs3RhF4 for λ = 1.5418 Å (Cu Kα), from a structure optimized by DFT (GGA-PBE).
Intensities are scaled so that the largest is 100.

Atomic structure:
```
Cs3RhF4
1.0
-3.4971 3.4971 3.9282
3.4971 -3.4971 3.9282
3.4971 3.4971 -3.9282
Cs Rh F
3 1 4
Cartesian
0.0000 0.0000 0.0000
3.4971 0.0000 1.9641
0.0000 3.4971 1.9641
0.0000 0.0000 3.9282
2.0152 2.0152 0.0000
1.4819 -1.4819 3.9282
-1.4819 1.4819 3.9282
1.4819 1.4819 3.9282
```

Largest 10 diffraction maxima, low angle first, 10° ≤ 2θ ≤ 80°:
25.47°, I = 50
29.03°, I = 100
36.33°, I = 34
47.16°, I = 48
52.32°, I = 11
53.51°, I = 13
59.07°, I = 11
60.17°, I = 15
60.95°, I = 13
73.07°, I = 14

***

Calculated powder X-ray diffraction pattern of Ac2Sn3 for λ = 1.5418 Å (Cu Kα), from a structure optimized by DFT (GGA-PBE).
Intensities are scaled so that the largest is 100.

Atomic structure:
```
Ac2Sn3
1.0
8.3051 0.0000 0.0000
0.0000 8.3051 0.0000
0.0000 0.0000 4.8798
Ac Sn
4 6
Cartesian
1.4749 2.6777 0.0000
2.6777 6.8302 0.0000
5.6274 1.4749 0.0000
6.8302 5.6274 0.0000
0.0000 0.0000 2.4399
1.0395 5.1921 2.4399
3.1130 1.0395 2.4399
4.1525 4.1525 2.4399
5.1921 7.2656 2.4399
7.2656 3.1130 2.4399
```

Largest 10 diffraction maxima, low angle first, 10° ≤ 2θ ≤ 80°:
28.22°, I = 39
30.24°, I = 100
34.14°, I = 29
36.84°, I = 21
45.01°, I = 11
48.92°, I = 17
51.10°, I = 19
59.51°, I = 10
59.87°, I = 10
62.32°, I = 13

***

Calculated powder X-ray diffraction pattern of BaNaUN3 for λ = 1.5418 Å (Cu Kα), from a structure optimized by DFT (GGA-PBE).
Intensities are scaled so that the largest is 100.

Atomic structure:
```
BaNaUN3
1.0
2.9945 -6.2471 0.0000
2.9945 6.2471 0.0000
-1.2131 0.0000 5.9193
Ba Na U N
2 2 2 6
Cartesian
2.0847 3.1515 4.4395
2.6913 -3.1515 1.4798
2.6913 0.8486 1.4798
2.0847 -0.8486 4.4395
2.6913 5.4136 1.4798
2.0847 -5.4136 4.4395
0.5463 0.6686 2.9065
2.6913 3.4106 1.4798
-0.0603 -0.6686 5.8662
4.8362 0.6686 0.0531
2.0847 -3.4106 4.4395
4.2297 -0.6686 3.0127
```

Largest 10 diffraction maxima, low angle first, 10° ≤ 2θ ≤ 80°:
16.69°, I = 100
20.67°, I = 34
28.75°, I = 79
30.20°, I = 43
30.47°, I = 43
31.86°, I = 96
32.41°, I = 21
38.63°, I = 28
50.74°, I = 21
51.09°, I = 26

***

Calculated powder X-ray diffraction pattern of Pr12Sm2Mg for λ = 1.5418 Å (Cu Kα), from a structure optimized by DFT (GGA-PBE).
Intensities are scaled so that the largest is 100.

Atomic structure:
```
Pr12Sm2Mg
1.0
6.7389 0.0000 0.0000
0.0000 6.7389 0.0000
0.0000 0.0000 24.6809
Pr Sm Mg
24 4 2
Cartesian
0.1350 3.5044 2.4359
0.1350 6.6039 22.2450
0.5602 3.9296 13.9263
0.5602 6.1787 10.7546
1.6847 1.6847 5.0060
1.6847 1.6847 8.1217
1.6847 1.6847 16.5592
1.6847 1.6847 19.6749
2.8093 3.9296 10.7546
2.8093 6.1787 13.9263
3.2345 3.5044 22.2450
3.2345 6.6039 2.4359
3.5044 0.1350 22.2450
3.5044 3.2345 2.4359
3.9296 0.5602 10.7546
3.9296 2.8093 13.9263
5.0542 5.0542 5.0060
5.0542 5.0542 8.1217
5.0542 5.0542 16.5592
5.0542 5.0542 19.6749
6.1787 0.5602 13.9263
6.1787 2.8093 10.7546
6.6039 0.1350 2.4359
6.6039 3.2345 22.2450
1.6847 5.0542 6.0643
1.6847 5.0542 18.6166
5.0542 1.6847 6.0643
5.0542 1.6847 18.6166
1.6847 5.0542 0.0000
5.0542 1.6847 0.0000
```

Largest 10 diffraction maxima, low angle first, 10° ≤ 2θ ≤ 80°:
21.60°, I = 31
27.44°, I = 100
28.66°, I = 52
30.22°, I = 42
30.53°, I = 27
32.65°, I = 30
33.08°, I = 30
34.41°, I = 28
37.76°, I = 50
52.17°, I = 31

***

Calculated powder X-ray diffraction pattern of Bi2PtI2 for λ = 1.5418 Å (Cu Kα), from a structure optimized by DFT (GGA-PBE).
Intensities are scaled so that the largest is 100.

Atomic structure:
```
Bi2PtI2
1.0
6.2098 0.0000 0.0000
-0.8339 6.4225 0.0000
-2.6663 -3.1953 9.1777
Bi Pt I
4 2 4
Cartesian
0.0439 -1.1715 3.7401
-0.3756 2.0373 5.4397
3.0852 1.1898 3.7380
2.6657 4.3987 5.4376
1.1439 3.2187 3.4928
1.5657 0.0085 5.6849
-0.0465 1.4436 1.6725
0.3604 -1.7539 7.5033
2.3492 4.9811 1.6744
2.7561 1.7835 7.5052
```

Largest 10 diffraction maxima, low angle first, 10° ≤ 2θ ≤ 80°:
15.18°, I = 18
26.98°, I = 21
28.88°, I = 100
29.00°, I = 18
30.08°, I = 32
33.16°, I = 21
33.95°, I = 17
36.32°, I = 21
36.43°, I = 18
43.25°, I = 19

***

Calculated powder X-ray diffraction pattern of Ni3Au5 for λ = 1.5418 Å (Cu Kα), from a structure optimized by DFT (GGA-PBE).
Intensities are scaled so that the largest is 100.

Atomic structure:
```
Ni3Au5
1.0
0.0000 7.0531 2.5317
7.0498 0.0000 2.5317
7.0498 7.0531 0.0000
Ni Au
6 10
Cartesian
7.0498 2.3749 2.5317
3.5249 3.5265 1.2659
9.4258 7.0531 2.5254
4.6738 7.0531 2.5254
10.5747 10.5796 3.7976
7.0498 11.7312 2.5317
11.6157 5.6260 2.5313
8.4735 4.5694 2.5324
7.0498 7.0531 1.2648
11.6157 8.4802 2.5313
5.6262 4.5694 2.5324
8.4735 9.5367 2.5324
2.4840 5.6260 2.5313
7.0498 7.0531 3.7966
5.6262 9.5367 2.5324
2.4840 8.4802 2.5313
```

Largest 10 diffraction maxima, low angle first, 10° ≤ 2θ ≤ 80°:
26.64°, I = 23
28.30°, I = 21
35.46°, I = 24
37.04°, I = 66
39.94°, I = 36
40.45°, I = 54
41.37°, I = 100
44.03°, I = 55
67.40°, I = 18
67.69°, I = 23